NaB4Pd: computed powder X-ray diffraction pattern (copper Kα), based on a DFT-relaxed cell (PBE, OQMD).
Neutral-atom scattering factors, no anomalous dispersion.

Top 12 peaks for 10° ≤ 2θ ≤ 80°, low angle first:
two_theta, I_rel, h k l
11.53, 100.0, 0 0 1
23.18, 23.2, 0 0 2
34.05, 37.1, 1 0 0
36.06, 30.8, 1 0 1
41.60, 67.1, 1 0 2
47.38, 8.5, 0 0 4
49.69, 15.2, 1 0 3
59.63, 15.4, 1 0 4
60.95, 12.3, 1 1 0
62.26, 7.4, 1 1 1
66.11, 8.6, 1 1 2
76.50, 10.2, 2 0 2

a b c (Å): 3.0403 3.0403 7.6743
angles (deg): 90.00 90.00 120.00
Space group P6/mmm (No. 191)
Inequivalent atoms, fractional coordinates:
Na 0.0000 0.0000 0.0000 [1 per cell]
B 0.3333 0.6667 0.2754 [4 per cell]
Pd 0.0000 0.0000 0.5000 [1 per cell]

LuScCo2Te2: computed powder X-ray diffraction pattern (copper Kα), based on a DFT-relaxed cell (PBE, OQMD).
Neutral-atom scattering factors, no anomalous dispersion.

Top 12 peaks for 10° ≤ 2θ ≤ 80°, low angle first:
two_theta, I_rel, h k l
10.83, 3.9, 1 0 0
14.46, 2.4, 0 0 2
20.50, 2.4, 0 1 0
21.76, 2.6, 0 0 3
25.18, 12.5, 2 0 1
29.15, 44.3, 0 0 4
41.70, 100.0, 0 2 0
49.33, 5.5, 2 2 1
51.68, 12.1, 4 0 2
60.44, 16.2, 4 2 -2
68.49, 15.8, 2 1 7
76.11, 32.3, 2 3 3

a b c (Å): 8.6671 4.3312 12.9941
angles (deg): 90.00 109.45 90.00
Space group Pm (No. 6)
Inequivalent atoms, fractional coordinates:
Lu 0.0000 0.0000 0.0000 [1 per cell]
Lu 0.1246 0.5000 0.7490 [1 per cell]
Lu 0.6229 0.5000 0.7480 [1 per cell]
Lu 0.8745 0.5000 0.2500 [1 per cell]
Sc 0.2489 0.0000 0.4990 [1 per cell]
Sc 0.3741 0.5000 0.2491 [1 per cell]
Sc 0.4982 0.0000 0.9992 [1 per cell]
Sc 0.7486 0.0000 0.4980 [1 per cell]
Co 0.0679 0.5000 0.1273 [1 per cell]
Co 0.1919 0.0000 0.8759 [1 per cell]
Co 0.3099 0.5000 0.6199 [1 per cell]
Co 0.4370 0.0000 0.3739 [1 per cell]
Co 0.5577 0.5000 0.1235 [1 per cell]
Co 0.6830 0.0000 0.8759 [1 per cell]
Co 0.8092 0.5000 0.6200 [1 per cell]
Co 0.9380 0.0000 0.3778 [1 per cell]
Te 0.1290 0.0000 0.2519 [1 per cell]
Te 0.2533 0.5000 0.0010 [1 per cell]
Te 0.3737 0.0000 0.7481 [1 per cell]
Te 0.4978 0.5000 0.4963 [1 per cell]
Te 0.6205 0.0000 0.2491 [1 per cell]
Te 0.7454 0.5000 0.9998 [1 per cell]
Te 0.8729 0.0000 0.7469 [1 per cell]
Te 0.9990 0.5000 0.4991 [1 per cell]

YErCd6: computed powder X-ray diffraction pattern (copper Kα), based on a DFT-relaxed cell (PBE, OQMD).
Neutral-atom scattering factors, no anomalous dispersion.

Top 12 peaks for 10° ≤ 2θ ≤ 80°, low angle first:
two_theta, I_rel, h k l
30.07, 11.8, 0 2 2
33.50, 18.4, 0 0 4
33.65, 14.9, 1 1 3
35.46, 100.0, 1 2 2
37.21, 28.6, 2 0 0
38.46, 19.9, 1 0 4
50.93, 11.0, 2 0 4
51.12, 7.6, 0 4 0
57.78, 7.5, 0 2 6
64.89, 9.4, 2 4 0
65.96, 16.3, 3 2 2
70.75, 8.1, 2 2 6

a b c (Å): 4.8328 7.1469 10.7002
angles (deg): 90.00 90.00 90.00
Space group Amm2 (No. 38)
Inequivalent atoms, fractional coordinates:
Y 0.0000 0.0000 0.0000 [2 per cell]
Er 0.5000 0.0000 0.7340 [2 per cell]
Cd 0.0000 0.0000 0.5439 [2 per cell]
Cd 0.0000 0.2154 0.2712 [4 per cell]
Cd 0.5000 0.0000 0.1915 [2 per cell]
Cd 0.5000 0.2142 0.4628 [4 per cell]

Zn2Co3Cu3: computed powder X-ray diffraction pattern (copper Kα), based on a DFT-relaxed cell (PBE, OQMD).
Neutral-atom scattering factors, no anomalous dispersion.

Top 9 peaks for 10° ≤ 2θ ≤ 80°, low angle first:
two_theta, I_rel, h k l
39.91, 14.9, 0 0 4
41.04, 22.6, 0 2 2
43.57, 40.5, 2 0 0
45.72, 49.8, 1 0 4
46.73, 100.0, 1 2 2
60.56, 8.0, 2 0 4
61.39, 12.6, 2 2 2
73.24, 15.2, 0 2 6
75.52, 7.0, 0 4 0

a b c (Å): 4.1544 5.0360 9.0356
angles (deg): 90.00 90.00 90.00
Space group Amm2 (No. 38)
Inequivalent atoms, fractional coordinates:
Zn 0.0000 0.0000 0.0000 [2 per cell]
Zn 0.5000 0.0000 0.3321 [2 per cell]
Co 0.0000 0.2447 0.7524 [4 per cell]
Co 0.5000 0.0000 0.8260 [2 per cell]
Cu 0.0000 0.0000 0.5016 [2 per cell]
Cu 0.5000 0.2497 0.0841 [4 per cell]

Zn2In: computed powder X-ray diffraction pattern (copper Kα), based on a DFT-relaxed cell (PBE, OQMD).
Neutral-atom scattering factors, no anomalous dispersion.

Top 12 peaks for 10° ≤ 2θ ≤ 80°, low angle first:
two_theta, I_rel, h k l
31.72, 11.0, 2 1 -2
32.20, 10.0, 1 0 4
32.35, 24.7, 2 1 1
34.08, 31.5, 1 1 -4
34.80, 14.2, 0 0 5
37.64, 24.7, 1 1 4
38.47, 100.0, 0 2 0
39.73, 35.7, 2 1 3
39.93, 13.3, 0 1 5
40.96, 24.4, 3 1 0
41.07, 15.6, 3 1 -2
69.58, 9.4, 2 3 -4

a b c (Å): 7.6260 4.6789 13.1165
angles (deg): 90.00 100.67 90.00
Space group P2_1/m (No. 11)
Inequivalent atoms, fractional coordinates:
Zn 0.0379 0.2500 0.2297 [2 per cell]
Zn 0.0544 0.7500 0.5690 [2 per cell]
Zn 0.0768 0.7500 0.3675 [2 per cell]
Zn 0.0800 0.7500 0.9772 [2 per cell]
Zn 0.2701 0.2500 0.0719 [2 per cell]
Zn 0.3007 0.2500 0.3833 [2 per cell]
Zn 0.3883 0.7500 0.4961 [2 per cell]
Zn 0.4347 0.7500 0.0208 [2 per cell]
In 0.1684 0.2500 0.8490 [2 per cell]
In 0.2995 0.2500 0.6152 [2 per cell]
In 0.3077 0.7500 0.2229 [2 per cell]
In 0.3994 0.7500 0.7729 [2 per cell]

Ga2Cu2TeSe3: computed powder X-ray diffraction pattern (copper Kα), based on a DFT-relaxed cell (PBE, OQMD).
Neutral-atom scattering factors, no anomalous dispersion.

Top 12 peaks for 10° ≤ 2θ ≤ 80°, low angle first:
two_theta, I_rel, h k l
26.82, 100.0, 1 1 1
26.93, 96.9, 3 1 -1
44.40, 47.9, 2 2 -2
44.56, 24.0, 2 0 2
44.71, 47.1, 4 2 0
44.84, 23.4, 6 0 -2
52.60, 28.4, 1 1 -3
52.72, 29.4, 3 3 -1
53.11, 14.1, 5 1 1
53.30, 14.2, 7 1 -1
64.59, 14.7, 4 0 -4
65.55, 7.2, 8 0 0

a b c (Å): 12.7413 5.7707 5.7721
angles (deg): 90.00 116.60 90.00
Space group C2 (No. 5)
Inequivalent atoms, fractional coordinates:
Ga 0.1290 0.0000 0.3900 [4 per cell]
Cu 0.1306 0.4769 0.8687 [4 per cell]
Te 0.0000 0.7272 0.0000 [2 per cell]
Se 0.0000 0.2485 0.5000 [2 per cell]
Se 0.2501 0.2392 0.2445 [4 per cell]

Zn: computed powder X-ray diffraction pattern (copper Kα), based on a DFT-relaxed cell (PBE, OQMD).
Neutral-atom scattering factors, no anomalous dispersion.

Top 5 peaks for 10° ≤ 2θ ≤ 80°, low angle first:
two_theta, I_rel, h k l
38.72, 65.7, 1 1 0
42.55, 100.0, 1 0 1
55.92, 21.5, 2 0 0
67.28, 5.9, 0 0 2
72.72, 37.1, 2 1 1

a b c (Å): 3.2887 3.2887 2.7833
angles (deg): 90.00 90.00 90.00
Space group I4/mmm (No. 139)
Inequivalent atoms, fractional coordinates:
Zn 0.0000 0.0000 0.0000 [2 per cell]

Cu5Ag4: computed powder X-ray diffraction pattern (copper Kα), based on a DFT-relaxed cell (PBE, OQMD).
Neutral-atom scattering factors, no anomalous dispersion.

Top 12 peaks for 10° ≤ 2θ ≤ 80°, low angle first:
two_theta, I_rel, h k l
25.08, 5.8, 0 1 1
30.30, 4.6, 0 1 5
34.80, 6.8, 0 1 7
40.12, 99.2, 0 1 9
40.70, 100.0, 1 1 0
44.93, 67.4, 1 0 9
50.97, 25.1, 0 2 0
64.58, 7.9, 0 0 18
66.25, 10.8, 2 0 0
70.26, 32.7, 1 2 9
72.11, 5.3, 1 1 16
79.20, 17.1, 1 1 18

a b c (Å): 2.8213 3.5836 25.9750
angles (deg): 90.00 90.00 90.00
Space group Imm2 (No. 44)
Inequivalent atoms, fractional coordinates:
Cu 0.0000 0.0000 0.0000 [2 per cell]
Cu 0.0000 0.0000 0.0957 [2 per cell]
Cu 0.0000 0.0000 0.5479 [2 per cell]
Cu 0.0000 0.0000 0.7755 [2 per cell]
Cu 0.0000 0.0000 0.8875 [2 per cell]
Ag 0.0000 0.0000 0.2193 [2 per cell]
Ag 0.0000 0.0000 0.3315 [2 per cell]
Ag 0.0000 0.0000 0.4435 [2 per cell]
Ag 0.0000 0.0000 0.6525 [2 per cell]

Cu4Ag3: computed powder X-ray diffraction pattern (copper Kα), based on a DFT-relaxed cell (PBE, OQMD).
Neutral-atom scattering factors, no anomalous dispersion.

Top 12 peaks for 10° ≤ 2θ ≤ 80°, low angle first:
two_theta, I_rel, h k l
33.35, 25.9, 0 1 5
39.24, 16.4, 1 0 5
40.03, 83.2, 0 1 7
40.98, 100.0, 1 1 0
45.18, 57.9, 1 0 7
47.71, 4.8, 0 1 9
50.84, 25.8, 0 2 0
54.40, 6.7, 0 0 12
66.04, 6.6, 1 2 5
67.15, 10.6, 2 0 0
70.33, 40.4, 1 2 7
79.27, 8.4, 1 1 14

a b c (Å): 2.7881 3.5921 20.2388
angles (deg): 90.00 90.00 90.00
Space group Immm (No. 71)
Inequivalent atoms, fractional coordinates:
Cu 0.0000 0.0000 0.1583 [4 per cell]
Cu 0.0000 0.0000 0.2812 [4 per cell]
Ag 0.0000 0.0000 0.0000 [2 per cell]
Ag 0.0000 0.0000 0.4149 [4 per cell]

RbHfAu3S4: computed powder X-ray diffraction pattern (copper Kα), based on a DFT-relaxed cell (PBE, OQMD).
Neutral-atom scattering factors, no anomalous dispersion.

Top 12 peaks for 10° ≤ 2θ ≤ 80°, low angle first:
two_theta, I_rel, h k l
14.10, 68.2, 1 0 0
24.55, 71.3, 1 1 1
28.42, 72.9, 2 0 0
31.86, 28.5, 2 1 0
40.63, 100.0, 2 2 0
43.21, 19.4, 2 2 1
48.05, 35.6, 3 1 1
50.33, 22.2, 2 2 2
58.81, 16.3, 4 0 0
64.69, 14.1, 3 3 1
66.59, 30.3, 4 2 0
73.93, 32.7, 4 2 2

a b c (Å): 6.2807 6.2807 6.2807
angles (deg): 90.00 90.00 90.00
Space group P-43m (No. 215)
Inequivalent atoms, fractional coordinates:
Rb 0.0000 0.0000 0.0000 [1 per cell]
Hf 0.5000 0.5000 0.5000 [1 per cell]
Au 0.0000 0.5000 0.5000 [3 per cell]
S 0.2798 0.2798 0.2798 [4 per cell]

CsHf3Si5: computed powder X-ray diffraction pattern (copper Kα), based on a DFT-relaxed cell (PBE, OQMD).
Neutral-atom scattering factors, no anomalous dispersion.

Top 12 peaks for 10° ≤ 2θ ≤ 80°, low angle first:
two_theta, I_rel, h k l
13.28, 88.2, 0 0 1
21.92, 77.3, 1 0 1
26.74, 48.6, 0 0 2
33.21, 47.4, 1 1 1
35.13, 74.7, 2 0 0
37.71, 63.9, 2 0 1
44.46, 21.6, 1 0 3
44.70, 100.0, 2 0 2
49.12, 18.7, 2 1 1
63.03, 22.2, 2 2 0
67.05, 28.6, 2 0 4
69.72, 19.9, 2 2 2

a b c (Å): 5.8992 5.8992 6.6667
angles (deg): 90.00 90.00 120.00
Space group P6/mmm (No. 191)
Inequivalent atoms, fractional coordinates:
Cs 0.0000 0.0000 0.0000 [1 per cell]
Hf 0.0000 0.5000 0.5000 [3 per cell]
Si 0.0000 0.0000 0.5000 [1 per cell]
Si 0.3333 0.6667 0.1761 [4 per cell]

Gd3Tl3Sn2Pb2: computed powder X-ray diffraction pattern (copper Kα), based on a DFT-relaxed cell (PBE, OQMD).
Neutral-atom scattering factors, no anomalous dispersion.

Top 12 peaks for 10° ≤ 2θ ≤ 80°, low angle first:
two_theta, I_rel, h k l
19.02, 1.9, 1 1 0
23.72, 4.0, 0 4 1
32.35, 100.0, 1 5 1
36.95, 16.2, 0 10 0
37.81, 33.9, 2 0 0
38.31, 2.5, 1 9 0
53.90, 22.3, 2 10 0
54.54, 12.0, 2 0 2
63.70, 11.9, 1 15 1
64.79, 14.0, 1 5 3
64.91, 13.9, 3 5 1
67.71, 11.4, 2 10 2

a b c (Å): 4.7538 24.3252 4.7644
angles (deg): 90.00 90.00 90.00
Space group Cmmm (No. 65)
Inequivalent atoms, fractional coordinates:
Gd 0.0000 0.0000 0.0000 [2 per cell]
Gd 0.0000 0.1898 0.0000 [4 per cell]
Tl 0.0000 0.2943 0.5000 [4 per cell]
Tl 0.0000 0.5000 0.5000 [2 per cell]
Sn 0.0000 0.0993 0.5000 [4 per cell]
Pb 0.0000 0.4018 0.0000 [4 per cell]

Zn2Co7: computed powder X-ray diffraction pattern (copper Kα), based on a DFT-relaxed cell (PBE, OQMD).
Neutral-atom scattering factors, no anomalous dispersion.

Top 12 peaks for 10° ≤ 2θ ≤ 80°, low angle first:
two_theta, I_rel, h k l
11.47, 19.5, 0 0 4
43.39, 22.9, 1 0 4
44.01, 31.3, 0 0 15
44.32, 100.0, 1 0 5
45.44, 33.3, 1 0 6
47.12, 12.3, 0 0 16
49.79, 10.3, 0 1 9
51.55, 60.3, 0 1 10
53.44, 21.7, 0 1 11
75.67, 15.5, 1 0 20
76.14, 26.7, 1 1 0
78.68, 9.6, 1 0 21

a b c (Å): 2.5010 2.5010 30.8622
angles (deg): 90.00 90.00 120.00
Space group P3m1 (No. 156)
Inequivalent atoms, fractional coordinates:
Zn 0.0000 0.0000 0.0000 [1 per cell]
Zn 0.3333 0.6667 0.5317 [1 per cell]
Co 0.0000 0.0000 0.2012 [1 per cell]
Co 0.0000 0.0000 0.3965 [1 per cell]
Co 0.3333 0.6667 0.1356 [1 per cell]
Co 0.3333 0.6667 0.3308 [1 per cell]
Co 0.6667 0.3333 0.0721 [1 per cell]
Co 0.6667 0.3333 0.2661 [1 per cell]
Co 0.6667 0.3333 0.4600 [1 per cell]

NdSm2Zn2Si4Pd2: computed powder X-ray diffraction pattern (copper Kα), based on a DFT-relaxed cell (PBE, OQMD).
Neutral-atom scattering factors, no anomalous dispersion.

Top 12 peaks for 10° ≤ 2θ ≤ 80°, low angle first:
two_theta, I_rel, h k l
24.03, 19.9, 1 0 3
29.18, 11.8, 0 0 8
33.32, 31.2, 0 1 7
33.67, 100.0, 1 1 4
39.60, 11.2, 1 0 9
43.02, 19.7, 0 2 0
43.57, 19.0, 2 0 0
46.27, 13.0, 1 0 11
53.29, 10.7, 0 1 13
55.93, 14.0, 2 1 7
62.89, 12.5, 2 2 0
72.88, 10.3, 1 3 4

a b c (Å): 4.1548 4.2049 24.4864
angles (deg): 90.00 90.00 90.00
Space group Immm (No. 71)
Inequivalent atoms, fractional coordinates:
Nd 0.0000 0.0000 0.0000 [2 per cell]
Sm 0.0000 0.5000 0.3525 [4 per cell]
Zn 0.0000 0.5000 0.0973 [4 per cell]
Si 0.0000 0.0000 0.4516 [4 per cell]
Si 0.0000 0.5000 0.1951 [4 per cell]
Pd 0.0000 0.0000 0.2505 [4 per cell]